# KScW2O8
Calculated X-ray powder pattern, Cu Kα, 1.54184 Å. Input: a crystal structure in Alexandria, relaxed with GGA+U.
Kinematic intensities with the Lorentz-polarization factor, no thermal factor.

```
data_KScW2O8
_chemical_formula_sum 'K4 Sc4 W8 O32'
_space_group_name_H-M_alt 'C 1 2/c 1'
_space_group_IT_number 15
_cell_length_a 11.112
_cell_length_b 10.261
_cell_length_c 7.377
_cell_angle_alpha 90.00
_cell_angle_beta 131.27
_cell_angle_gamma 90.00
loop_
_space_group_symop_operation_xyz
'x,y,z'
'-x,-y,-z'
'-x,y,-z+1/2'
'x,-y,z+1/2'
'x+1/2,y+1/2,z'
'-x+1/2,-y+1/2,-z'
'-x+1/2,y+1/2,-z+1/2'
'x+1/2,-y+1/2,z+1/2'
loop_
_atom_site_label
_atom_site_type_symbol
_atom_site_fract_x
_atom_site_fract_y
_atom_site_fract_z
K1 K 0.000 0.208 0.250
Sc1 Sc 0.000 0.221 0.750
W1 W 0.197 0.499 0.700
O1 O 0.003 0.384 0.942
O2 O 0.157 0.123 0.726
O3 O 0.170 0.134 0.096
O4 O 0.188 0.433 0.438
```

Principal peaks in the range 10° ≤ 2θ ≤ 90°, sorted by position:
(1 1 0), 2θ 13.67, d = 6.477 Å, intensity 45
(0 2 0), 2θ 17.28, d = 5.130 Å, intensity 99
(2 0 0), 2θ 21.28, d = 4.176 Å, intensity 32
(2 0 -2), 2θ 24.13, d = 3.689 Å, intensity 46
(2 2 0), 2θ 27.54, d = 3.239 Å, intensity 99
(2 2 -2), 2θ 29.83, d = 2.995 Å, intensity 100
(0 0 2), 2θ 32.29, d = 2.772 Å, intensity 28
(4 0 -2), 2θ 32.48, d = 2.757 Å, intensity 26
(3 1 0), 2θ 33.35, d = 2.687 Å, intensity 33
(3 3 0), 2θ 41.84, d = 2.159 Å, intensity 25